The following is a theoretical XRD peak list of U2Si3Ni. It was derived from a cell relaxed with PBE, using Cu Kα X-rays.
Neutral-atom scattering factors, no anomalous dispersion.

Main lines, in order of rising 2θ (5 to 70 degrees two-theta):
2θ/deg	I/Imax	(hkl)
23.09	21	1 0 0
25.77	54	0 1 1
26.01	26	0 0 2
34.87	100	1 1 1
35.05	50	1 0 2
45.29	16	0 2 0
45.73	30	0 1 3
54.53	15	2 1 1
58.52	23	1 2 2
67.81	19	2 1 3

Atomic structure:
Cell lengths 3.853, 4.005, 6.853 Å; angles 90.00, 90.00, 90.00 degrees
Space group Pmm2 (No. 25)
Symmetry-distinct sites (fractional):
U  0.000  0.000  0.000
U  0.000  0.500  0.499
Si  0.500  0.000  0.334
Si  0.500  0.000  0.674
Si  0.500  0.500  0.158
Ni  0.500  0.500  0.831

The following is a theoretical XRD peak list of CsInI3. It was derived from a cell relaxed with PBE, using Cu Kα X-rays.
Neutral-atom scattering factors, no anomalous dispersion.

Main lines, in order of rising 2θ (5 to 70 degrees two-theta):
2θ/deg	I/Imax	(hkl)
16.88	54	1 -2 0
17.25	26	-2 1 1
17.67	32	1 1 -2
19.78	50	0 1 2
23.52	27	1 0 -3
25.65	30	2 1 1
26.59	27	2 2 -2
28.24	100	3 -2 0
29.88	27	-1 3 2
40.92	36	1 1 4

Atomic structure:
Cell lengths 10.934, 11.074, 11.373 Å; angles 93.66, 110.77, 100.66 degrees
Space group P-1 (No. 2)
Symmetry-distinct sites (fractional):
Cs  0.231  0.397  0.066
Cs  0.246  0.874  0.755
In  0.242  0.300  0.611
In  0.269  0.924  0.232
I  0.041  0.159  0.674
I  0.120  0.368  0.375
I  0.143  0.712  0.005
I  0.365  0.511  0.790
I  0.371  0.106  0.075
I  0.431  0.163  0.606

The following is a theoretical XRD peak list of Sm2Ga3Cu. It was derived from a cell relaxed with PBE, using Cu Kα X-rays.
Neutral-atom scattering factors, no anomalous dispersion.

Main lines, in order of rising 2θ (5 to 70 degrees two-theta):
2θ/deg	I/Imax	(hkl)
23.20	17	1 0 0
26.14	4	1 0 1
33.53	100	1 0 2
40.76	56	1 1 0
43.40	8	0 1 3
48.88	7	0 0 4
53.77	26	0 2 2
54.78	5	0 1 4
65.48	16	1 1 4
69.61	23	2 1 2

Atomic structure:
Cell lengths 4.4274, 4.4274, 7.4531 Å; angles 90.00, 90.00, 120.00 degrees
Space group P3m1 (No. 156)
Symmetry-distinct sites (fractional):
Sm  0.0000  0.0000  0.0000
Sm  0.0000  0.0000  0.4708
Ga  0.3333  0.6667  0.2192
Ga  0.3333  0.6667  0.7810
Ga  0.6667  0.3333  0.6913
Cu  0.6667  0.3333  0.2671

The following is a theoretical XRD peak list of TbHo3Fe8. It was derived from a cell relaxed with PBE, using Cu Kα X-rays.
Neutral-atom scattering factors, no anomalous dispersion.

Main lines, in order of rising 2θ (5 to 70 degrees two-theta):
2θ/deg	I/Imax	(hkl)
21.31	18	0 0 6
35.14	69	1 1 0
41.47	100	1 1 6
43.40	13	0 0 12
50.55	1	2 0 8
55.45	5	0 1 14
63.06	25	3 0 0
67.37	30	3 0 6

Atomic structure:
Cell lengths 5.1091, 5.1091, 24.9997 Å; angles 90.00, 90.00, 120.00 degrees
Space group R3m (No. 160, hexagonal axes)
Symmetry-distinct sites (fractional):
Tb  0.0000  0.0000  0.0000
Ho  0.0000  0.0000  0.3750
Ho  0.0000  0.0000  0.4999
Ho  0.0000  0.0000  0.8748
Fe  0.0000  0.0000  0.1873
Fe  0.0000  0.0000  0.6877
Fe  0.0009  0.5004  0.4378
Fe  0.1669  0.3339  0.2704